[1]
The following is a theoretical powder diffractogram of Ba2Ni9B6. It was derived from DFT lattice parameters and positions (GGA-PBE), using Cu Ka.
Intensities are scaled so that the largest is 100.

Peak list (12 most intense, 5 to 70 degrees two-theta, sorted by position)
d [Å]	I (rel.)
3.486	6
3.348	20
2.787	17
2.514	100
2.438	28
2.418	17
2.010	11
1.769	10
1.743	33
1.499	7
1.451	19
1.436	6

Atomic structure:
a = 7.5562 Å, b = 7.5562 Å, c = 7.5562 Å
α = 83.43°, β = 83.43°, γ = 83.43°
Fractional positions:
Ba1 0.1231 0.1231 0.1231
Ba2 0.3769 0.3769 0.3769
Ba3 0.6231 0.6231 0.6231
Ba4 0.8769 0.8769 0.8769
Ni1 0.0670 0.6083 0.5767
Ni2 0.0767 0.1083 0.5670
Ni3 0.1083 0.5670 0.0767
Ni4 0.2149 0.7500 0.2851
Ni5 0.2500 0.7149 0.7851
Ni6 0.2851 0.2149 0.7500
Ni7 0.3917 0.4233 0.9330
Ni8 0.4233 0.9330 0.3917
Ni9 0.4330 0.9233 0.8917
Ni10 0.5670 0.0767 0.1083
Ni11 0.5767 0.0670 0.6083
Ni12 0.6083 0.5767 0.0670
Ni13 0.7149 0.7851 0.2500
Ni14 0.7500 0.2851 0.2149
Ni15 0.7851 0.2500 0.7149
Ni16 0.8917 0.4330 0.9233
Ni17 0.9233 0.8917 0.4330
Ni18 0.9330 0.3917 0.4233
B1 0.0351 0.3469 0.6876
B2 0.1531 0.4649 0.8124
B3 0.1876 0.8469 0.5351
B4 0.3124 0.9649 0.6531
B5 0.3469 0.6876 0.0351
B6 0.4649 0.8124 0.1531
B7 0.5351 0.1876 0.8469
B8 0.6531 0.3124 0.9649
B9 0.6876 0.0351 0.3469
B10 0.8124 0.1531 0.4649
B11 0.8469 0.5351 0.1876
B12 0.9649 0.6531 0.3124

[2]
The following is a theoretical powder diffractogram of Ba2NpBO6. It was derived from DFT lattice parameters and positions (GGA-PBE), using Cu Ka.
Intensities are scaled so that the largest is 100.

Peak list (12 most intense, 5 to 70 degrees two-theta, sorted by position)
d [Å]	I (rel.)
4.902	72
3.266	65
2.892	100
2.718	27
2.310	56
1.887	15
1.805	50
1.633	17
1.612	15
1.461	22
1.446	18
1.422	13

Atomic structure:
a = 5.9232 Å, b = 5.9232 Å, c = 5.9232 Å
α = 113.07°, β = 113.07°, γ = 102.48°
Fractional positions:
Ba1 0.2500 0.7500 0.5000
Ba2 0.7500 0.2500 0.5000
Np1 0.0000 0.0000 0.0000
B1 0.5000 0.5000 0.0000
O1 0.2202 0.2202 0.4405
O2 0.2202 0.7798 0.0000
O3 0.3269 0.3269 0.0000
O4 0.6731 0.6731 0.0000
O5 0.7798 0.2202 0.0000
O6 0.7798 0.7798 0.5595

[3]
The following is a theoretical powder diffractogram of Ba3BO5. It was derived from DFT lattice parameters and positions (GGA-PBE), using Cu Ka.
Intensities are scaled so that the largest is 100.

Peak list (12 most intense, 5 to 70 degrees two-theta, sorted by position)
d [Å]	I (rel.)
3.757	33
3.135	63
3.040	100
2.732	32
2.587	26
2.434	63
2.314	40
1.879	19
1.766	25
1.752	26
1.645	22
1.595	17

Atomic structure:
a = 7.5254 Å, b = 7.5254 Å, c = 7.5254 Å
α = 121.83°, β = 121.83°, γ = 86.86°
Fractional positions:
Ba1 0.1806 0.6806 0.8611
Ba2 0.2500 0.2500 0.0000
Ba3 0.3194 0.1806 0.5000
Ba4 0.6806 0.8194 0.5000
Ba5 0.7500 0.7500 0.0000
Ba6 0.8194 0.3194 0.1389
B1 0.2500 0.7500 0.5000
B2 0.7500 0.2500 0.5000
O1 0.0000 0.0000 0.0000
O2 0.0511 0.7821 0.5000
O3 0.2179 0.7179 0.2690
O4 0.2821 0.5511 0.5000
O5 0.4489 0.9489 0.7310
O6 0.5000 0.5000 0.0000
O7 0.5511 0.0511 0.2690
O8 0.7179 0.4489 0.5000
O9 0.7821 0.2821 0.7310
O10 0.9489 0.2179 0.5000

[4]
The following is a theoretical powder diffractogram of Ba3B2O6. It was derived from DFT lattice parameters and positions (GGA-PBE), using Cu Ka.
Intensities are scaled so that the largest is 100.

Peak list (12 most intense, 5 to 70 degrees two-theta, sorted by position)
d [Å]	I (rel.)
4.678	36
4.232	16
3.586	24
3.278	100
3.112	53
2.846	52
2.621	16
2.116	25
2.005	59
1.966	20
1.927	16
1.698	20

Atomic structure:
a = 5.2421 Å, b = 7.1725 Å, c = 10.3617 Å
α = 90.00°, β = 90.00°, γ = 90.00°
Fractional positions:
Ba1 0.0000 0.0000 0.0000
Ba2 0.0000 0.5000 0.1881
Ba3 0.0000 0.5000 0.8119
Ba4 0.5000 0.0000 0.3119
Ba5 0.5000 0.0000 0.6881
Ba6 0.5000 0.5000 0.5000
B1 0.0253 0.2357 0.5000
B2 0.4747 0.7357 0.0000
B3 0.5253 0.2643 0.0000
B4 0.9747 0.7643 0.5000
O1 0.1546 0.2683 0.3830
O2 0.1546 0.2683 0.6170
O3 0.2317 0.8127 0.5000
O4 0.2683 0.3127 0.0000
O5 0.3454 0.7683 0.1170
O6 0.3454 0.7683 0.8830
O7 0.6546 0.2317 0.1170
O8 0.6546 0.2317 0.8830
O9 0.7317 0.6873 0.0000
O10 0.7683 0.1873 0.5000
O11 0.8454 0.7317 0.3830
O12 0.8454 0.7317 0.6170

What did the fourth record say?
The following is a theoretical powder diffractogram of Ba3B2O6. It was derived from DFT lattice parameters and positions (GGA-PBE), using Cu Ka.
Intensities are scaled so that the largest is 100.

Peak list (12 most intense, 5 to 70 degrees two-theta, sorted by position)
d [Å]	I (rel.)
4.678	36
4.232	16
3.586	24
3.278	100
3.112	53
2.846	52
2.621	16
2.116	25
2.005	59
1.966	20
1.927	16
1.698	20

Atomic structure:
a = 5.2421 Å, b = 7.1725 Å, c = 10.3617 Å
α = 90.00°, β = 90.00°, γ = 90.00°
Fractional positions:
Ba1 0.0000 0.0000 0.0000
Ba2 0.0000 0.5000 0.1881
Ba3 0.0000 0.5000 0.8119
Ba4 0.5000 0.0000 0.3119
Ba5 0.5000 0.0000 0.6881
Ba6 0.5000 0.5000 0.5000
B1 0.0253 0.2357 0.5000
B2 0.4747 0.7357 0.0000
B3 0.5253 0.2643 0.0000
B4 0.9747 0.7643 0.5000
O1 0.1546 0.2683 0.3830
O2 0.1546 0.2683 0.6170
O3 0.2317 0.8127 0.5000
O4 0.2683 0.3127 0.0000
O5 0.3454 0.7683 0.1170
O6 0.3454 0.7683 0.8830
O7 0.6546 0.2317 0.1170
O8 0.6546 0.2317 0.8830
O9 0.7317 0.6873 0.0000
O10 0.7683 0.1873 0.5000
O11 0.8454 0.7317 0.3830
O12 0.8454 0.7317 0.6170